[1]
Diffraction record for ScTaNb. The powder diffraction line list is simulated, not measured: it uses the GGA-PBE geometry in Alexandria and Cu Kα.
No peak broadening, texture or thermal motion is included.

Principal peaks in the range 10° ≤ 2θ ≤ 90°, low angle first:
2theta	d/Å	I_rel
17.43	5.089	7
18.54	4.785	6
20.47	4.339	9
25.55	3.486	8
27.76	3.214	4
32.32	2.770	4
37.53	2.397	100
45.93	1.976	3
54.12	1.695	17
67.68	1.384	22
67.80	1.382	11
80.05	1.199	8

Structure:
```
ScTaNb
1.0
4.7968 0.0000 0.0000
0.0000 4.7846 0.0000
-2.4017 0.0000 5.0888
Sc Ta Nb
2 2 2
direct
0.0000 0.0000 0.0000
0.1780 0.5000 0.3497
0.3364 0.0000 0.6726
0.6842 0.0000 0.3670
0.4945 0.5000 0.9846
0.8426 0.5000 0.6792
```

[2]
Diffraction record for ScNb2Tc2. The powder diffraction line list is simulated, not measured: it uses the GGA-PBE geometry in Alexandria and Cu Kα.
No peak broadening, texture or thermal motion is included.

Principal peaks in the range 10° ≤ 2θ ≤ 90°, low angle first:
2theta	d/Å	I_rel
20.64	4.304	8
38.77	2.323	37
39.32	2.291	73
39.39	2.288	100
56.49	1.629	21
57.24	1.609	11
70.57	1.335	23
71.29	1.323	12
71.39	1.321	9
71.50	1.320	9
84.58	1.146	7
84.71	1.144	6

Structure:
```
ScNb2Tc2
1.0
3.2190 0.0000 0.0000
0.0000 4.6456 0.0000
-1.6299 0.0000 11.4274
Sc Nb Tc
2 4 4
direct
0.1451 0.2500 0.2904
0.8549 0.7500 0.7096
0.0490 0.7500 0.0977
0.2398 0.7500 0.4804
0.7602 0.2500 0.5196
0.9510 0.2500 0.9023
0.3517 0.2500 0.7036
0.4546 0.7500 0.9083
0.5454 0.2500 0.0917
0.6483 0.7500 0.2964
```

[3]
Diffraction record for ScTi12Nb6. The powder diffraction line list is simulated, not measured: it uses the GGA-PBE geometry in Alexandria and Cu Kα.
No peak broadening, texture or thermal motion is included.

Principal peaks in the range 10° ≤ 2θ ≤ 90°, low angle first:
2theta	d/Å	I_rel
11.90	7.438	51
32.80	2.730	28
33.25	2.695	50
34.99	2.565	26
36.23	2.479	91
38.04	2.366	53
38.42	2.343	23
38.90	2.315	53
39.67	2.272	100
40.92	2.206	32
41.26	2.188	38
44.43	2.039	44

Structure:
```
ScTi12Nb6
1.0
5.2182 -6.1123 0.0000
5.2182 6.1123 0.0000
-2.6739 0.0000 5.4604
Sc Ti Nb
1 12 6
direct
0.0000 0.0000 0.0000
0.0603 0.3937 0.3516
0.0774 0.3651 0.8986
0.1069 0.8931 0.5000
0.3651 0.0774 0.8986
0.3693 0.3693 0.2862
0.3937 0.0603 0.3516
0.6063 0.9397 0.6484
0.6307 0.6307 0.7138
0.6349 0.9226 0.1014
0.8931 0.1069 0.5000
0.9226 0.6349 0.1014
0.9397 0.6063 0.6484
0.3019 0.6941 0.2422
0.3059 0.6981 0.7578
0.3486 0.3486 0.7469
0.6514 0.6514 0.2531
0.6941 0.3019 0.2422
0.6981 0.3059 0.7578
```